1.
For Zr2TlTe, a cell relaxed with GGA-PBE gives the computed PXRD pattern in this record (Cu Kα).
Lines closer than 0.1° are merged.

Atomic structure:
```
data_Zr2TlTe
_space_group_name_H-M_alt 'C 1 2/m 1'
_space_group_IT_number 12
_cell_length_a 6.717
_cell_length_b 7.962
_cell_length_c 3.527
_cell_angle_alpha 90.00
_cell_angle_beta 98.51
_cell_angle_gamma 90.00
loop_
_space_group_symop_operation_xyz
'x,y,z'
'-x,-y,-z'
'-x,y,-z'
'x,-y,z'
'x+1/2,y+1/2,z'
'-x+1/2,-y+1/2,-z'
'-x+1/2,y+1/2,-z'
'x+1/2,-y+1/2,z'
loop_
_atom_site_label
_atom_site_fract_x
_atom_site_fract_y
_atom_site_fract_z
Zr1 0.250 0.250 0.000
Tl1 0.000 0.000 0.500
Te1 0.000 0.500 0.500
```

The 10 most intense peaks (15° ≤ 2θ ≤ 90°), by angle:
| index | 2theta | I/Imax |
| --- | --- | --- |
| 0 2 1 | 34.18 | 1000 |
| 2 0 -1 | 34.42 | 490 |
| 2 2 0 | 35.19 | 924 |
| 2 0 1 | 40.16 | 320 |
| 0 4 0 | 45.57 | 223 |
| 0 0 2 | 52.46 | 147 |
| 2 4 -1 | 58.34 | 213 |
| 2 2 -2 | 60.84 | 187 |
| 2 4 1 | 62.34 | 174 |
| 4 2 -1 | 62.80 | 170 |

***

2.
For Tm7Ga5Sb, a cell relaxed with GGA-PBE gives the computed PXRD pattern in this record (Cu Kα).
Lines closer than 0.1° are merged.

Atomic structure:
```
data_Tm7Ga5Sb
_space_group_name_H-M_alt 'C 1 m 1'
_space_group_IT_number 8
_cell_length_a 11.754
_cell_length_b 10.320
_cell_length_c 6.009
_cell_angle_alpha 90.00
_cell_angle_beta 120.73
_cell_angle_gamma 90.00
loop_
_space_group_symop_operation_xyz
'x,y,z'
'x,-y,z'
'x+1/2,y+1/2,z'
'x+1/2,-y+1/2,z'
loop_
_atom_site_label
_atom_site_fract_x
_atom_site_fract_y
_atom_site_fract_z
Tm1 0.000 0.000 0.000
Tm2 0.038 0.500 0.035
Tm3 0.264 0.182 0.763
Tm4 0.293 0.330 0.293
Tm5 0.382 0.000 0.380
Ga1 0.022 0.253 0.774
Ga2 0.022 0.254 0.267
Ga3 0.037 0.000 0.537
Sb1 0.196 0.500 0.694
```

The 10 most intense peaks (15° ≤ 2θ ≤ 90°), by angle:
| index | 2theta | I/Imax |
| --- | --- | --- |
| 2 2 0 | 24.64 | 363 |
| 2 0 -2 | 29.74 | 600 |
| 1 3 -1 | 29.93 | 778 |
| 2 0 1 | 30.43 | 486 |
| 0 4 0 | 34.75 | 532 |
| 3 3 -1 | 34.91 | 981 |
| 4 0 0 | 35.54 | 382 |
| 0 2 2 | 39.01 | 1000 |
| 5 1 -1 | 39.69 | 491 |
| 2 6 -2 | 62.19 | 327 |